LiCo8O16: calculated powder X-ray diffraction pattern (Cu Ka), based on a PBE+U-relaxed structure.

Crystal structure
Cell: 6.556 6.615 7.497 Å, 66.16 75.68 69.08°
Space group P-1 (No. 2)
Asymmetric unit:
1 Li 0.000 0.000 0.000
2 Co 0.066 0.442 0.685
3 Co 0.193 0.317 0.060
4 Co 0.314 0.185 0.438
5 Co 0.442 0.067 0.810
6 O 0.060 0.252 0.325
7 O 0.063 0.629 0.050
8 O 0.182 0.129 0.705
9 O 0.192 0.497 0.423
10 O 0.302 0.007 0.071
11 O 0.322 0.375 0.797
12 O 0.431 0.876 0.453
13 O 0.445 0.242 0.175

The 8 most intense peaks (10 to 80 degrees two-theta), low angle first:
h k l, two_theta, Rel. int.
1 1 0, 17.8, 100
2 0 2, 37.2, 27
0 3 1, 44.1, 13
1 0 -3, 44.3, 13
3 1 2, 44.4, 13
1 4 1, 57.0, 5
3 -2 1, 66.1, 7
2 -3 1, 68.9, 6